For TlCoO, a cell relaxed with PBE+U gives the theoretical X-ray diffraction stick pattern in this record (a wavelength of 1.5418 Å).
No peak broadening, texture or thermal motion is included.

Structural model:
Lattice parameters (Å, degrees): 4.632 5.401 5.206 90.00 103.27 90.00
Element x y z (fractional)
Tl 0.137 0.250 0.334
Tl 0.863 0.750 0.666
Co 0.500 0.000 0.000
Co 0.500 0.500 0.000
O 0.473 0.750 0.225
O 0.527 0.250 0.775

Largest 8 diffraction maxima, low angle first, 15° ≤ 2θ ≤ 90°:
two_theta  I (rel.)
24.08  85
25.74  67
28.56  100
29.39  77
36.48  36
38.88  32
39.28  33
43.50  31